Simulated powder XRD pattern of La12Ho5Sc2 for CuKα, from a DFT-relaxed cell (GGA-PBE, Alexandria).
Peak positions follow from Bragg's law for the DFT cell and can differ from measured ones.

Main lines, by intensity (2θ from 10° to 80°):
(hkl)  two_theta  I (rel.)
0 0 3  30.13  100.0
6 0 0  31.06  89.7
2 2 1  29.51  72.1
6 0 -3  31.98  63.4
6 4 0  58.84  31.6
2 2 -2  29.83  31.4
2 2 0  25.93  28.7
0 2 2  31.21  26.7
6 2 -2  37.21  26.7
0 4 0  48.64  26.4
4 2 0  31.62  26.2
6 0 3  53.48  26.1

Lattice parameters (Å, degrees): 19.4079 7.4888 10.0057 90.00 117.10 90.00
Space group C2/m (No. 12)
One atom of each set of equivalent atoms:
La  0.0020  0.0000  0.3011 x4
La  0.0129  0.5000  0.8344 x4
La  0.1616  0.2484  0.3448 x8
La  0.1659  0.2312  0.9969 x8
Ho  0.0000  0.0000  0.0000 x2
Ho  0.1704  0.0000  0.6645 x4
Ho  0.1722  0.5000  0.6859 x4
Sc  0.0000  0.3071  0.5000 x4


Simulated powder XRD pattern of PaCu4As3O12 for CuKα, from a DFT-relaxed cell (GGA-PBE, Alexandria).
Peak positions follow from Bragg's law for the DFT cell and can differ from measured ones.

Main lines, by intensity (2θ from 10° to 80°):
(hkl)  two_theta  I (rel.)
2 2 0  33.55  100.0
4 2 2  59.99  47.3
1 1 0  16.60  26.4
4 0 0  48.18  24.6
3 1 2  44.89  13.5
4 4 0  70.52  12.8
3 0 1  37.65  11.4
2 1 1  28.95  9.2
2 0 0  23.55  6.3
2 2 2  41.40  5.8
4 3 1  62.71  5.0
4 1 1  51.31  4.0

Lattice parameters (Å, degrees): 7.5547 7.5547 7.5547 90.00 90.00 90.00
Space group Im-3 (No. 204)
One atom of each set of equivalent atoms:
Pa  0.0000  0.0000  0.0000 x2
Cu  0.2500  0.2500  0.2500 x8
As  0.0000  0.0000  0.5000 x6
O  0.0000  0.2978  0.1693 x24


Simulated powder XRD pattern of Na8Hg2Bi for CuKα, from a DFT-relaxed cell (GGA-PBE, Alexandria).
Peak positions follow from Bragg's law for the DFT cell and can differ from measured ones.

Main lines, by intensity (2θ from 10° to 80°):
(hkl)  two_theta  I (rel.)
0 1 -2  19.70  100.0
1 1 -1  20.36  86.1
1 2 0  33.06  72.6
1 3 -2  39.33  58.0
1 1 2  38.21  33.7
1 0 1  23.05  31.3
1 0 -2  23.09  31.1
0 2 -1  23.38  28.5
2 0 -1  33.67  27.8
1 2 -3  33.15  23.9
0 0 3  32.02  22.4
3 2 -1  59.81  16.9

Lattice parameters (Å, degrees): 5.3235 7.6084 9.5679 113.20 106.04 90.03
Space group P1 (No. 1)
One atom of each set of equivalent atoms:
Na  0.0000  0.0000  0.0000 x1
Na  0.0342  0.5479  0.0686 x1
Na  0.2002  0.0596  0.4002 x1
Na  0.3644  0.8773  0.7282 x1
Na  0.3998  0.3960  0.7995 x1
Na  0.5945  0.2777  0.1884 x1
Na  0.6992  0.7557  0.3987 x1
Na  0.8064  0.4925  0.6140 x1
Hg  0.5391  0.8184  0.0778 x1
Hg  0.8583  0.1381  0.7169 x1
Bi  0.1996  0.4874  0.3994 x1


Simulated powder XRD pattern of Pr4SbPbO for CuKα, from a DFT-relaxed cell (GGA-PBE, Alexandria).
Peak positions follow from Bragg's law for the DFT cell and can differ from measured ones.

Main lines, by intensity (2θ from 10° to 80°):
(hkl)  two_theta  I (rel.)
2 0 2  38.13  100.0
2 4 0  33.50  74.7
0 4 2  33.27  74.6
0 2 2  28.37  66.5
2 2 0  28.65  64.9
0 6 0  29.68  61.0
2 6 2  49.05  60.8
1 5 1  31.18  41.0
2 4 4  65.70  21.2
4 4 2  66.13  20.7
1 11 1  59.62  20.2
1 7 1  39.82  19.8

Lattice parameters (Å, degrees): 6.6391 18.0614 6.7111 90.00 90.00 90.00
Space group Cmcm (No. 63)
One atom of each set of equivalent atoms:
Pr  0.0000  0.0688  0.2500 x4
Pr  0.0000  0.4222  0.2500 x4
Pr  0.2500  0.2500  0.0000 x8
Sb  0.0000  0.1122  0.7500 x4
Pb  0.0000  0.3913  0.7500 x4
O  0.0000  0.2905  0.2500 x4


Simulated powder XRD pattern of Ce2Fe17C2 for CuKα, from a DFT-relaxed cell (GGA-PBE, Alexandria).
Peak positions follow from Bragg's law for the DFT cell and can differ from measured ones.

Main lines, by intensity (2θ from 10° to 80°):
(hkl)  two_theta  I (rel.)
1 3 -2  42.21  100.0
4 0 -2  43.67  75.9
2 2 2  41.86  72.3
1 3 1  35.92  38.9
0 4 0  41.65  38.3
1 1 -2  29.83  37.4
2 2 -2  37.54  28.3
0 0 3  42.31  25.4
4 0 1  42.44  21.7
2 2 -4  61.95  19.8
3 1 0  29.93  18.1
4 0 0  37.72  17.9

Lattice parameters (Å, degrees): 9.6562 8.6743 6.4873 90.00 98.91 90.00
Space group C2/m (No. 12)
One atom of each set of equivalent atoms:
Ce  0.1500  0.0000  0.3276 x4
Fe  0.0000  0.2193  0.0000 x4
Fe  0.0000  0.5000  0.5000 x2
Fe  0.0969  0.5000  0.9047 x4
Fe  0.0990  0.2547  0.6586 x8
Fe  0.1429  0.3593  0.2854 x8
Fe  0.1571  0.0000  0.8522 x4
Fe  0.2500  0.2500  0.0000 x4
C  0.2500  0.2500  0.5000 x4


Simulated powder XRD pattern of Er3Zn2Cu7 for CuKα, from a DFT-relaxed cell (GGA-PBE, Alexandria).
Peak positions follow from Bragg's law for the DFT cell and can differ from measured ones.

Main lines, by intensity (2θ from 10° to 80°):
(hkl)  two_theta  I (rel.)
1 1 6  41.01  100.0
1 1 0  34.48  51.7
1 0 7  32.16  43.8
0 2 1  40.20  36.7
0 1 8  35.16  30.5
3 0 6  66.22  23.2
2 2 0  72.71  21.5
2 1 7  60.32  14.7
2 0 5  44.16  14.0
0 0 12  43.84  12.9
0 1 11  44.99  12.5
1 2 8  62.21  11.4

Lattice parameters (Å, degrees): 5.2022 5.2022 24.7807 90.00 90.00 120.00
Space group R-3m (No. 166, hexagonal axes)
One atom of each set of equivalent atoms:
Er  0.0000  0.0000  0.0000 x3
Er  0.0000  0.0000  0.1418 x6
Zn  0.0000  0.0000  0.3326 x6
Cu  0.0000  0.0000  0.5000 x3
Cu  0.0006  0.5003  0.9166 x18


Simulated powder XRD pattern of Nd2Sm3S8 for CuKα, from a DFT-relaxed cell (GGA-PBE, Alexandria).
Peak positions follow from Bragg's law for the DFT cell and can differ from measured ones.

Main lines, by intensity (2θ from 10° to 80°):
(hkl)  two_theta  I (rel.)
1 1 1  20.46  100.0
4 2 -1  33.93  90.1
3 1 -1  22.90  81.7
4 2 1  41.31  78.1
2 2 -3  45.36  69.2
2 2 -1  26.79  61.3
2 2 0  25.62  59.2
0 2 1  25.77  46.0
2 0 -1  15.54  43.8
2 0 2  35.05  41.9
6 0 -2  40.93  37.3
0 4 0  44.22  36.0

Lattice parameters (Å, degrees): 14.0304 8.1935 6.8732 90.00 110.45 90.00
Space group C2/m (No. 12)
One atom of each set of equivalent atoms:
Nd  0.2345  0.0000  0.1545 x4
Sm  0.0000  0.2367  0.5000 x4
Sm  0.0000  0.5000  0.0000 x2
S  0.1156  0.5000  0.4307 x4
S  0.1208  0.0000  0.4192 x4
S  0.1240  0.2694  0.9140 x8


Simulated powder XRD pattern of AgSnHg2Se4 for CuKα, from a DFT-relaxed cell (GGA-PBE, Alexandria).
Peak positions follow from Bragg's law for the DFT cell and can differ from measured ones.

Main lines, by intensity (2θ from 10° to 80°):
(hkl)  two_theta  I (rel.)
2 1 0  23.15  100.0
2 1 1  26.30  95.4
0 0 2  24.77  95.1
2 3 0  40.48  89.9
2 1 3  44.56  86.0
2 3 2  48.04  63.6
0 2 1  26.16  51.2
0 2 3  44.47  48.1
0 2 0  22.99  46.2
4 0 0  40.77  44.1
2 1 2  34.16  43.3
0 2 5  69.82  37.0

Lattice parameters (Å, degrees): 8.8524 7.7366 7.1897 90.00 90.00 90.00
Space group Pmn2_1 (No. 31)
One atom of each set of equivalent atoms:
Ag  0.0000  0.1559  0.0000 x2
Sn  0.0000  0.8271  0.4969 x2
Hg  0.2474  0.3358  0.4991 x4
Se  0.0000  0.1620  0.3742 x2
Se  0.0000  0.8322  0.8770 x2
Se  0.2410  0.3312  0.8806 x4


Simulated powder XRD pattern of TbCu4Si2 for CuKα, from a DFT-relaxed cell (GGA-PBE, Alexandria).
Peak positions follow from Bragg's law for the DFT cell and can differ from measured ones.

Main lines, by intensity (2θ from 10° to 80°):
(hkl)  two_theta  I (rel.)
1 3 1  37.98  100.0
0 0 2  45.07  22.5
2 0 0  45.22  22.3
1 3 0  30.50  15.8
0 2 1  26.11  15.0
2 0 2  65.75  13.8
0 4 1  35.71  13.7
1 1 0  23.23  12.3
1 3 3  78.42  10.9
1 5 0  41.67  10.9
3 3 1  78.64  10.9
0 6 0  42.09  10.5

Lattice parameters (Å, degrees): 4.0105 12.8820 4.0232 90.00 90.00 90.00
Space group Cmmm (No. 65)
One atom of each set of equivalent atoms:
Tb  0.0000  0.0000  0.0000 x2
Cu  0.0000  0.1878  0.5000 x4
Cu  0.0000  0.3131  0.0000 x4
Si  0.0000  0.4068  0.5000 x4


Simulated powder XRD pattern of DyEr3N4 for CuKα, from a DFT-relaxed cell (GGA-PBE, Alexandria).
Peak positions follow from Bragg's law for the DFT cell and can differ from measured ones.

Main lines, by intensity (2θ from 10° to 80°):
(hkl)  two_theta  I (rel.)
1 1 1  31.86  100.0
2 0 0  36.96  70.6
2 2 0  53.26  48.5
3 1 1  63.42  44.4
2 2 2  66.59  16.3
4 0 0  78.68  7.6

Lattice parameters (Å, degrees): 4.8645 4.8645 4.8645 90.00 90.00 90.00
Space group Pm-3m (No. 221)
One atom of each set of equivalent atoms:
Dy  0.0000  0.0000  0.0000 x1
Er  0.0000  0.5000  0.5000 x3
N  0.0000  0.0000  0.5000 x3
N  0.5000  0.5000  0.5000 x1


Simulated powder XRD pattern of Pm4Te3Br4 for CuKα, from a DFT-relaxed cell (GGA-PBE, Alexandria).
Peak positions follow from Bragg's law for the DFT cell and can differ from measured ones.

Main lines, by intensity (2θ from 10° to 80°):
(hkl)  two_theta  I (rel.)
1 2 1  30.33  100.0
1 1 4  31.38  88.0
1 0 5  33.26  50.5
0 2 6  35.89  48.3
0 3 3  33.59  40.9
1 3 2  38.96  35.1
1 2 11  64.55  33.6
2 0 0  45.08  29.6
1 2 7  46.42  25.9
0 0 4  19.58  24.4
1 5 4  60.33  24.0
2 2 6  58.92  22.7

Lattice parameters (Å, degrees): 4.0218 8.9179 18.1394 90.00 90.00 90.00
Space group Immm (No. 71)
One atom of each set of equivalent atoms:
Pm  0.0000  0.0000  0.2345 x4
Pm  0.0000  0.2238  0.0000 x4
Te  0.0000  0.0000  0.5000 x2
Te  0.0000  0.5000  0.4043 x4
Br  0.0000  0.3135  0.1738 x8


Simulated powder XRD pattern of Cs4MgH5 for CuKα, from a DFT-relaxed cell (GGA-PBE, Alexandria).
Peak positions follow from Bragg's law for the DFT cell and can differ from measured ones.

Main lines, by intensity (2θ from 10° to 80°):
(hkl)  two_theta  I (rel.)
2 1 1  25.30  100.0
0 0 2  29.29  50.5
1 3 2  41.90  32.9
3 4 1  49.63  21.6
2 0 0  18.43  16.9
2 1 3  49.50  15.4
2 3 1  36.72  9.9
4 2 2  51.95  9.5
4 1 1  41.39  8.6
3 4 3  66.85  8.5
1 0 1  17.19  8.2
2 6 2  68.92  7.5

Lattice parameters (Å, degrees): 9.6302 9.6302 6.1104 90.00 90.00 90.00
Space group I4 (No. 79)
One atom of each set of equivalent atoms:
Cs  0.1268  0.2848  0.0000 x8
Mg  0.0000  0.0000  0.4462 x2
H  0.0000  0.0000  0.1294 x2
H  0.0596  0.1993  0.5047 x8


Simulated powder XRD pattern of Ac2Y7Er3 for CuKα, from a DFT-relaxed cell (GGA-PBE, Alexandria).
Peak positions follow from Bragg's law for the DFT cell and can differ from measured ones.

Main lines, by intensity (2θ from 10° to 80°):
(hkl)  two_theta  I (rel.)
1 1 -3  32.30  100.0
2 0 3  31.64  72.5
0 0 6  30.53  47.2
1 1 0  28.36  34.6
1 1 6  42.16  22.7
0 0 3  15.13  22.4
2 2 3  60.98  22.2
3 1 0  49.31  21.5
1 1 -9  55.39  19.3
0 2 6  60.32  14.5
0 2 0  50.68  14.2
3 1 -6  59.04  12.5

Lattice parameters (Å, degrees): 6.4588 3.6034 17.5659 90.00 90.16 90.00
Space group P2/m (No. 10)
One atom of each set of equivalent atoms:
Ac  0.0075  0.0000  0.1748 x2
Y  0.1774  0.5000  0.3407 x2
Y  0.2617  0.0000  0.9985 x2
Y  0.3299  0.0000  0.6634 x2
Y  0.5000  0.5000  0.5000 x1
Er  0.0000  0.0000  0.5000 x1
Er  0.4996  0.5000  0.1588 x2